Entry 1:
NiOs: calculated powder diffraction line list (a wavelength of 1.5418 Å), based on a DFT-relaxed cell (PBE, Alexandria).

Cell lengths 4.198, 7.831, 4.646 Å; angles 90.00, 90.00, 90.00 degrees
Space group Pmmn (No. 59, origin choice 2)
One atom of each set of equivalent atoms:
Ni (0.250, 0.083, 0.084) [4 per cell]
Ni (0.250, 0.250, 0.602) [2 per cell]
Os (0.250, 0.585, 0.584) [4 per cell]
Os (0.250, 0.750, 0.080) [2 per cell]

Peak list (10 most intense, 10° ≤ 2θ ≤ 80°, in order of rising 2θ)
two_theta, I/Imax, h k l
24.05, 371, 1 1 0
29.84, 161, 0 2 1
38.77, 123, 0 0 2
39.60, 255, 0 3 1
43.10, 390, 2 0 0
44.58, 539, 1 0 2
45.33, 1000, 1 3 1
59.96, 150, 2 3 1
70.74, 175, 0 3 3
72.41, 82, 0 6 0

Entry 2:
CeNd3In: calculated powder diffraction line list (a wavelength of 1.5418 Å), based on a DFT-relaxed cell (PBE, Alexandria).

Cell lengths 11.946, 9.720, 6.024 Å; angles 90.00, 112.24, 90.00 degrees
Space group C2/m (No. 12)
One atom of each set of equivalent atoms:
Ce (0.043, 0.000, 0.314) [4 per cell]
Nd (0.000, 0.313, 0.000) [4 per cell]
Nd (0.166, 0.319, 0.649) [8 per cell]
In (0.248, 0.500, 0.167) [4 per cell]

Peak list (10 most intense, 10° ≤ 2θ ≤ 80°, in order of rising 2θ)
two_theta, I/Imax, h k l
26.66, 243, 2 0 1
28.71, 1000, 1 3 0
29.94, 340, 2 0 -2
30.16, 866, 4 0 -1
31.37, 952, 1 1 -2
32.50, 922, 2 2 1
34.49, 252, 1 3 1
35.12, 454, 3 1 1
35.29, 442, 2 2 -2
36.41, 672, 3 3 -1